No. 1
Calculated powder diffractogram
Compound: NaPrHgF6
Radiation: a wavelength of 1.5418 Å
Structure: a cell relaxed with GGA-PBE
Intensities are scaled so that the largest is 100.

Crystal structure
Cell lengths 6.2172, 6.2172, 9.2069 Å; angles 90.00, 90.00, 120.00 degrees
Space group P-31c (No. 163)
Asymmetric unit:
1 Na 0.0000 0.0000 0.0000 x2
2 Pr 0.3333 0.6667 0.2500 x2
3 Hg 0.3333 0.6667 0.7500 x2
4 F 0.0026 0.3412 0.1272 x12

Principal peaks in the range 2θ from 10° to 90°, sorted by position:
Position (°2θ), d_spacing, I/Imax, (hkl)
16.46, 5.384, 61, 1 0 0
19.28, 4.603, 67, 0 0 2
25.46, 3.499, 78, 1 0 2
28.72, 3.109, 70, 1 1 0
34.82, 2.576, 100, 1 1 2
49.26, 1.850, 60, 1 1 4


No. 2
Calculated powder diffractogram
Compound: Pr3P2Rh9Pb
Radiation: a wavelength of 1.5418 Å
Structure: a cell relaxed with GGA-PBE
Intensities are scaled so that the largest is 100.

Crystal structure
Cell lengths 6.1208, 6.1208, 9.4797 Å; angles 90.00, 90.00, 120.00 degrees
Space group P-3m1 (No. 164)
Asymmetric unit:
1 Pr 0.0000 0.0000 0.0000 x1
2 Pr 0.3333 0.6667 0.7121 x2
3 P 0.3333 0.6667 0.1558 x2
4 Rh 0.0000 0.5000 0.0000 x3
5 Rh 0.1516 0.3032 0.2661 x6
6 Pb 0.0000 0.0000 0.5000 x1

Principal peaks in the range 2θ from 10° to 90°, sorted by position:
Position (°2θ), d_spacing, I/Imax, (hkl)
35.16, 2.552, 63, 0 2 1
37.97, 2.370, 26, 0 0 4
38.93, 2.313, 100, 2 0 2
44.62, 2.031, 26, 2 0 3
60.50, 1.530, 28, 2 2 0
73.70, 1.286, 20, 2 2 4


No. 3
Calculated powder diffractogram
Compound: Pr2Ga13
Radiation: a wavelength of 1.5418 Å
Structure: a cell relaxed with GGA-PBE
Intensities are scaled so that the largest is 100.

Crystal structure
Cell lengths 7.2994, 7.2994, 22.1221 Å; angles 90.00, 90.00, 120.00 degrees
Space group R-3m (No. 166, hexagonal axes)
Asymmetric unit:
1 Pr 0.0000 0.0000 0.2319 x6
2 Ga 0.0000 0.0000 0.0000 x3
3 Ga 0.0561 0.5281 0.7862 x18
4 Ga 0.1013 0.5507 0.0474 x18

Principal peaks in the range 2θ from 10° to 90°, sorted by position:
Position (°2θ), d_spacing, I/Imax, (hkl)
28.53, 3.129, 74, 0 2 1
32.63, 2.744, 100, 0 2 4
34.89, 2.572, 83, 2 0 5
35.43, 2.533, 78, 0 1 8
40.36, 2.235, 65, 0 2 7
41.16, 2.193, 90, 2 1 4


No. 4
Calculated powder diffractogram
Compound: Fe3Br4
Radiation: a wavelength of 1.5418 Å
Structure: a cell relaxed with GGA-PBE
Intensities are scaled so that the largest is 100.

Crystal structure
Cell lengths 5.6661, 5.6661, 5.1814 Å; angles 90.00, 90.00, 120.00 degrees
Space group P6/mmm (No. 191)
Asymmetric unit:
1 Fe 0.0000 0.5000 0.0000 x3
2 Br 0.0000 0.0000 0.2517 x2
3 Br 0.3333 0.6667 0.5000 x2

Principal peaks in the range 2θ from 10° to 90°, sorted by position:
Position (°2θ), d_spacing, I/Imax, (hkl)
31.58, 2.833, 72, 1 1 0
36.13, 2.486, 69, 1 1 1
36.63, 2.454, 44, 2 0 0
39.33, 2.291, 100, 1 0 2
40.69, 2.217, 64, 2 0 1
61.49, 1.508, 51, 2 1 2


No. 5
Calculated powder diffractogram
Compound: Cu3P2
Radiation: a wavelength of 1.5418 Å
Structure: a cell relaxed with GGA-PBE
Intensities are scaled so that the largest is 100.

Crystal structure
Cell lengths 3.9020, 3.9020, 5.4004 Å; angles 90.00, 90.00, 120.00 degrees
Space group P-3m1 (No. 164)
Asymmetric unit:
1 Cu 0.0000 0.0000 0.0000 x1
2 Cu 0.3333 0.6667 0.3352 x2
3 P 0.3333 0.6667 0.7667 x2

Principal peaks in the range 2θ from 10° to 90°, sorted by position:
Position (°2θ), d_spacing, I/Imax, (hkl)
31.22, 2.865, 100, 0 1 1
42.87, 2.109, 99, 1 0 2
46.55, 1.951, 89, 1 1 0
65.13, 1.432, 26, 0 2 2
71.28, 1.323, 22, 1 1 3
83.78, 1.155, 25, 2 1 2